(1)
# Hf3Be6Ni20
Simulated X-ray diffraction stick pattern, Cu Kα, 1.54184 Å. Input: a cell relaxed with GGA-PBE.

Largest 8 diffraction maxima, in order of falling intensity, 10 to 90 degrees two-theta:
2θ (°), I/Imax, h k l
43.27, 100, 3 3 3
40.69, 76, 4 2 2
47.33, 41, 4 4 0
74.04, 39, 6 6 0
37.00, 33, 4 2 0
23.16, 31, 2 2 0
88.10, 23, 8 4 4
53.33, 16, 6 2 0

```
data_Hf3Be6Ni20
_chemical_formula_sum 'Hf12 Be24 Ni80'
_cell_length_a 10.864
_cell_length_b 10.864
_cell_length_c 10.864
_cell_angle_alpha 90.00
_cell_angle_beta 90.00
_cell_angle_gamma 90.00
_symmetry_space_group_name_H-M 'F m -3 m'
_symmetry_Int_Tables_number 225
_symmetry_space_group_name_Hall '-F 4 2 3'
loop_
_atom_site_label
_atom_site_type_symbol
_atom_site_fract_x
_atom_site_fract_y
_atom_site_fract_z
Hf1 Hf 0.000 0.000 0.000
Hf2 Hf 0.250 0.250 0.250
Be1 Be 0.000 0.000 0.270
Ni1 Ni 0.000 0.173 0.173
Ni2 Ni 0.117 0.117 0.383
```


(2)
# Hf2Be16Os
Simulated X-ray diffraction stick pattern, Cu Kα, 1.54184 Å. Input: a cell relaxed with GGA-PBE.

Largest 8 diffraction maxima, in order of falling intensity, 10 to 90 degrees two-theta:
2θ (°), I/Imax, h k l
23.26, 100, 1 1 0
33.81, 36, 1 1 3
40.88, 28, 3 0 0
35.24, 21, 1 0 4
47.56, 20, 2 2 0
49.15, 18, 2 1 4
48.07, 17, 3 0 3
20.96, 17, 0 1 2

```
data_Hf2Be16Os
_chemical_formula_sum 'Hf6 Be48 Os3'
_cell_length_a 7.6475
_cell_length_b 7.6475
_cell_length_c 11.0347
_cell_angle_alpha 90.00
_cell_angle_beta 90.00
_cell_angle_gamma 120.00
_symmetry_space_group_name_H-M 'R 3 m'
_symmetry_Int_Tables_number 160
_symmetry_space_group_name_Hall 'R 3 -2"'
loop_
_atom_site_label
_atom_site_type_symbol
_atom_site_fract_x
_atom_site_fract_y
_atom_site_fract_z
Hf1 Hf 0.0000 0.0000 0.0000
Hf2 Hf 0.0000 0.0000 0.3159
Be1 Be 0.0000 0.0000 0.5513
Be2 Be 0.0001 0.2857 0.6626
Be3 Be 0.0026 0.5013 0.8171
Be4 Be 0.1672 0.3345 0.4938
Be5 Be 0.1674 0.3348 0.8386
Os1 Os 0.0000 0.0000 0.7551
```


(3)
# Hf3Be2P
Simulated X-ray diffraction stick pattern, Cu Kα, 1.54184 Å. Input: a cell relaxed with GGA-PBE.

Largest 8 diffraction maxima, in order of falling intensity, 10 to 90 degrees two-theta:
2θ (°), I/Imax, h k l
36.46, 100, 0 1 3
31.72, 83, 2 1 1
31.09, 71, 3 0 2
27.93, 70, 1 1 1
40.35, 66, 3 1 2
35.23, 48, 2 1 2
36.02, 46, 1 0 4
37.26, 42, 3 1 1

```
data_Hf3Be2P
_chemical_formula_sum 'Hf12 Be8 P4'
_cell_length_a 10.419
_cell_length_b 3.550
_cell_length_c 10.272
_cell_angle_alpha 90.00
_cell_angle_beta 90.00
_cell_angle_gamma 90.00
_symmetry_space_group_name_H-M 'P n m a'
_symmetry_Int_Tables_number 62
loop_
_symmetry_equiv_pos_as_xyz
'x,y,z'
'-x,-y,-z'
'-x+1/2,-y,z+1/2'
'x+1/2,y,-z+1/2'
'x+1/2,-y+1/2,-z+1/2'
'-x+1/2,y+1/2,z+1/2'
'-x,y+1/2,-z'
'x,-y+1/2,z'
loop_
_atom_site_label
_atom_site_type_symbol
_atom_site_fract_x
_atom_site_fract_y
_atom_site_fract_z
Hf1 Hf 0.053 0.250 0.120
Hf2 Hf 0.115 0.750 0.566
Hf3 Hf 0.198 0.250 0.801
Be1 Be 0.029 0.750 0.313
Be2 Be 0.199 0.750 0.002
P1 P 0.132 0.250 0.374
```


(4)
# HfTa2BeP
Simulated X-ray diffraction stick pattern, Cu Kα, 1.54184 Å. Input: a cell relaxed with GGA-PBE.

Largest 8 diffraction maxima, in order of falling intensity, 10 to 90 degrees two-theta:
2θ (°), I/Imax, h k l
20.25, 100, 0 0 1
41.97, 63, 2 0 1
36.36, 62, 2 0 0
56.07, 36, 2 0 2
27.18, 33, 1 0 1
56.71, 27, 2 2 1
17.95, 25, 1 0 0
32.77, 24, 1 1 1

```
data_HfTa2BeP
_chemical_formula_sum 'Hf1 Ta2 Be1 P1'
_cell_length_a 4.942
_cell_length_b 4.942
_cell_length_c 4.386
_cell_angle_alpha 90.00
_cell_angle_beta 90.00
_cell_angle_gamma 90.00
_symmetry_space_group_name_H-M 'P 4/m m m'
_symmetry_Int_Tables_number 123
_symmetry_space_group_name_Hall '-P 4 2'
loop_
_atom_site_label
_atom_site_type_symbol
_atom_site_fract_x
_atom_site_fract_y
_atom_site_fract_z
Hf1 Hf 0.000 0.000 0.000
Ta1 Ta 0.000 0.500 0.000
Be1 Be 0.000 0.000 0.500
P1 P 0.500 0.500 0.500
```


(5)
# HfPaBe17
Simulated X-ray diffraction stick pattern, Cu Kα, 1.54184 Å. Input: a cell relaxed with GGA-PBE.

Largest 8 diffraction maxima, in order of falling intensity, 10 to 90 degrees two-theta:
2θ (°), I/Imax, h k l
23.36, 100, 1 1 0
33.70, 90, 1 1 3
15.61, 67, 1 0 1
48.09, 41, 3 0 3
23.95, 31, 0 0 3
70.12, 30, 4 1 3
41.05, 29, 3 0 0
20.87, 26, 0 1 2

```
data_HfPaBe17
_chemical_formula_sum 'Hf3 Pa3 Be51'
_cell_length_a 7.6159
_cell_length_b 7.6159
_cell_length_c 11.1468
_cell_angle_alpha 90.00
_cell_angle_beta 90.00
_cell_angle_gamma 120.00
_symmetry_space_group_name_H-M 'R 3 m'
_symmetry_Int_Tables_number 160
_symmetry_space_group_name_Hall 'R 3 -2"'
loop_
_atom_site_label
_atom_site_type_symbol
_atom_site_fract_x
_atom_site_fract_y
_atom_site_fract_z
Hf1 Hf 0.0000 0.0000 0.0000
Pa1 Pa 0.0000 0.0000 0.6777
Be1 Be 0.0000 0.0000 0.2409
Be2 Be 0.0000 0.0000 0.4311
Be3 Be 0.0016 0.5008 0.8369
Be4 Be 0.0522 0.3834 0.0044
Be5 Be 0.1671 0.3341 0.5134
Be6 Be 0.1681 0.3362 0.8308
```


(6)
# HfBe2TcPb
Simulated X-ray diffraction stick pattern, Cu Kα, 1.54184 Å. Input: a cell relaxed with GGA-PBE.

Largest 8 diffraction maxima, in order of falling intensity, 10 to 90 degrees two-theta:
2θ (°), I/Imax, h k l
29.55, 100, 1 1 0
46.54, 59, 1 1 2
17.35, 54, 0 0 1
34.47, 52, 1 1 1
42.28, 42, 2 0 0
56.10, 37, 2 0 2
35.12, 35, 0 0 2
80.35, 24, 3 1 2

```
data_HfBe2TcPb
_chemical_formula_sum 'Hf1 Be2 Tc1 Pb1'
_cell_length_a 4.275
_cell_length_b 4.275
_cell_length_c 5.110
_cell_angle_alpha 90.00
_cell_angle_beta 90.00
_cell_angle_gamma 90.00
_symmetry_space_group_name_H-M 'P 4/m m m'
_symmetry_Int_Tables_number 123
_symmetry_space_group_name_Hall '-P 4 2'
loop_
_atom_site_label
_atom_site_type_symbol
_atom_site_fract_x
_atom_site_fract_y
_atom_site_fract_z
Hf1 Hf 0.000 0.000 0.000
Be1 Be 0.000 0.500 0.500
Tc1 Tc 0.500 0.500 0.500
Pb1 Pb 0.500 0.500 0.000
```


(7)
# HfZrBePb2
Simulated X-ray diffraction stick pattern, Cu Kα, 1.54184 Å. Input: a cell relaxed with GGA-PBE.

Largest 8 diffraction maxima, in order of falling intensity, 10 to 90 degrees two-theta:
2θ (°), I/Imax, h k l
32.79, 100, 2 0 0
19.19, 90, 0 0 1
38.27, 67, 2 0 1
30.15, 59, 1 1 1
25.23, 58, 1 0 1
51.81, 56, 2 0 2
47.06, 37, 2 2 0
62.67, 36, 2 2 2

```
data_HfZrBePb2
_chemical_formula_sum 'Hf1 Zr1 Be1 Pb2'
_cell_length_a 5.462
_cell_length_b 5.462
_cell_length_c 4.625
_cell_angle_alpha 90.00
_cell_angle_beta 90.00
_cell_angle_gamma 90.00
_symmetry_space_group_name_H-M 'P 4/m m m'
_symmetry_Int_Tables_number 123
_symmetry_space_group_name_Hall '-P 4 2'
loop_
_atom_site_label
_atom_site_type_symbol
_atom_site_fract_x
_atom_site_fract_y
_atom_site_fract_z
Hf1 Hf 0.000 0.000 0.000
Zr1 Zr 0.500 0.500 0.500
Be1 Be 0.000 0.000 0.500
Pb1 Pb 0.000 0.500 0.000
```


(8)
# HfBePd4
Simulated X-ray diffraction stick pattern, Cu Kα, 1.54184 Å. Input: a cell relaxed with GGA-PBE.

Largest 8 diffraction maxima, in order of falling intensity, 10 to 90 degrees two-theta:
2θ (°), I/Imax, h k l
40.96, 100, 3 1 -1
36.28, 59, 2 1 1
37.86, 57, 0 2 0
11.03, 53, 1 0 0
45.13, 52, 3 1 1
37.18, 42, 0 0 2
37.36, 32, 1 0 -2
54.11, 26, 0 2 2

```
data_HfBePd4
_chemical_formula_sum 'Hf2 Be2 Pd8'
_cell_length_a 8.096
_cell_length_b 4.752
_cell_length_c 4.881
_cell_angle_alpha 90.00
_cell_angle_beta 97.76
_cell_angle_gamma 90.00
_symmetry_space_group_name_H-M 'P 1 21/c 1'
_symmetry_Int_Tables_number 14
loop_
_symmetry_equiv_pos_as_xyz
'x,y,z'
'-x,-y,-z'
'-x,y+1/2,-z+1/2'
'x,-y+1/2,z+1/2'
loop_
_atom_site_label
_atom_site_type_symbol
_atom_site_fract_x
_atom_site_fract_y
_atom_site_fract_z
Hf1 Hf 0.000 0.000 0.000
Be1 Be 0.500 0.000 0.500
Pd1 Pd 0.176 0.024 0.535
Pd2 Pd 0.356 0.540 0.584
```


(9)
# HfBe17Pd
Simulated X-ray diffraction stick pattern, Cu Kα, 1.54184 Å. Input: a cell relaxed with GGA-PBE.

Largest 8 diffraction maxima, in order of falling intensity, 10 to 90 degrees two-theta:
2θ (°), I/Imax, h k l
24.04, 100, 1 1 0
34.76, 91, 1 1 3
16.08, 79, 1 0 1
49.61, 45, 3 0 3
21.52, 33, 0 1 2
42.29, 32, 3 0 0
24.73, 31, 0 0 3
49.23, 24, 2 2 0

```
data_HfBe17Pd
_chemical_formula_sum 'Hf3 Be51 Pd3'
_cell_length_a 7.4032
_cell_length_b 7.4032
_cell_length_c 10.8000
_cell_angle_alpha 90.00
_cell_angle_beta 90.00
_cell_angle_gamma 120.00
_symmetry_space_group_name_H-M 'R 3 m'
_symmetry_Int_Tables_number 160
_symmetry_space_group_name_Hall 'R 3 -2"'
loop_
_atom_site_label
_atom_site_type_symbol
_atom_site_fract_x
_atom_site_fract_y
_atom_site_fract_z
Hf1 Hf 0.0000 0.0000 0.0000
Be1 Be 0.0000 0.0000 0.2434
Be2 Be 0.0000 0.0000 0.4411
Be3 Be 0.0048 0.2968 0.3409
Be4 Be 0.0094 0.5047 0.4972
Be5 Be 0.0105 0.5052 0.1910
Be6 Be 0.0156 0.5078 0.8353
Pd1 Pd 0.0000 0.0000 0.6785
```


(10)
# Hf6Be15Pd8
Simulated X-ray diffraction stick pattern, Cu Kα, 1.54184 Å. Input: a cell relaxed with GGA-PBE.

Largest 8 diffraction maxima, in order of falling intensity, 10 to 90 degrees two-theta:
2θ (°), I/Imax, h k l
34.31, 100, 3 3 1
41.17, 95, 5 1 1
45.01, 81, 4 4 0
27.11, 65, 2 2 2
15.56, 41, 2 0 0
67.27, 32, 7 3 3
38.72, 28, 4 2 2
71.75, 23, 5 5 5

```
data_Hf6Be15Pd8
_chemical_formula_sum 'Hf24 Be60 Pd32'
_cell_length_a 11.393
_cell_length_b 11.393
_cell_length_c 11.393
_cell_angle_alpha 90.00
_cell_angle_beta 90.00
_cell_angle_gamma 90.00
_symmetry_space_group_name_H-M 'F m -3 m'
_symmetry_Int_Tables_number 225
_symmetry_space_group_name_Hall '-F 4 2 3'
loop_
_atom_site_label
_atom_site_type_symbol
_atom_site_fract_x
_atom_site_fract_y
_atom_site_fract_z
Hf1 Hf 0.000 0.000 0.197
Be1 Be 0.000 0.000 0.500
Be2 Be 0.000 0.250 0.250
Be3 Be 0.174 0.174 0.174
Pd1 Pd 0.125 0.125 0.375
```


(11)
# PrHfBe
Simulated X-ray diffraction stick pattern, Cu Kα, 1.54184 Å. Input: a cell relaxed with GGA-PBE.

Largest 8 diffraction maxima, in order of falling intensity, 10 to 90 degrees two-theta:
2θ (°), I/Imax, h k l
35.23, 100, 1 0 3
28.00, 92, 1 0 1
38.51, 57, 1 1 0
49.44, 32, 1 1 4
29.80, 32, 0 0 4
67.55, 30, 2 1 3
55.60, 20, 2 0 0
63.39, 19, 2 1 1

```
data_PrHfBe
_chemical_formula_sum 'Pr2 Hf2 Be2'
_cell_length_a 3.306
_cell_length_b 3.306
_cell_length_c 11.993
_cell_angle_alpha 90.00
_cell_angle_beta 90.00
_cell_angle_gamma 90.00
_symmetry_space_group_name_H-M 'P 4/m m m'
_symmetry_Int_Tables_number 123
_symmetry_space_group_name_Hall '-P 4 2'
loop_
_atom_site_label
_atom_site_type_symbol
_atom_site_fract_x
_atom_site_fract_y
_atom_site_fract_z
Pr1 Pr 0.000 0.000 0.165
Hf1 Hf 0.500 0.500 0.377
Be1 Be 0.000 0.000 0.500
Be2 Be 0.500 0.500 0.000
```


(12)
# Hf2BeZnPt2
Simulated X-ray diffraction stick pattern, Cu Kα, 1.54184 Å. Input: a cell relaxed with GGA-PBE.

Largest 8 diffraction maxima, in order of falling intensity, 10 to 90 degrees two-theta:
2θ (°), I/Imax, h k l
34.11, 100, 0 0 2
37.94, 94, 2 1 1
25.44, 90, 0 4 0
71.89, 90, 0 0 4
43.03, 84, 0 4 2
45.71, 77, 1 6 1
48.27, 75, 2 0 2
42.21, 67, 2 4 0

```
data_Hf2BeZnPt2
_chemical_formula_sum 'Hf8 Be4 Zn4 Pt8'
_cell_length_a 5.413
_cell_length_b 14.005
_cell_length_c 5.256
_cell_angle_alpha 90.00
_cell_angle_beta 90.00
_cell_angle_gamma 90.00
_symmetry_space_group_name_H-M 'I b a m'
_symmetry_Int_Tables_number 72
_symmetry_space_group_name_Hall '-I 2 2c'
loop_
_atom_site_label
_atom_site_type_symbol
_atom_site_fract_x
_atom_site_fract_y
_atom_site_fract_z
Hf1 Hf 0.198 0.173 0.000
Be1 Be 0.000 0.500 0.250
Zn1 Zn 0.000 0.000 0.250
Pt1 Pt 0.195 0.371 0.000
```


Copy entry 8 word for word.
# HfBePd4
Simulated X-ray diffraction stick pattern, Cu Kα, 1.54184 Å. Input: a cell relaxed with GGA-PBE.

Largest 8 diffraction maxima, in order of falling intensity, 10 to 90 degrees two-theta:
2θ (°), I/Imax, h k l
40.96, 100, 3 1 -1
36.28, 59, 2 1 1
37.86, 57, 0 2 0
11.03, 53, 1 0 0
45.13, 52, 3 1 1
37.18, 42, 0 0 2
37.36, 32, 1 0 -2
54.11, 26, 0 2 2

```
data_HfBePd4
_chemical_formula_sum 'Hf2 Be2 Pd8'
_cell_length_a 8.096
_cell_length_b 4.752
_cell_length_c 4.881
_cell_angle_alpha 90.00
_cell_angle_beta 97.76
_cell_angle_gamma 90.00
_symmetry_space_group_name_H-M 'P 1 21/c 1'
_symmetry_Int_Tables_number 14
loop_
_symmetry_equiv_pos_as_xyz
'x,y,z'
'-x,-y,-z'
'-x,y+1/2,-z+1/2'
'x,-y+1/2,z+1/2'
loop_
_atom_site_label
_atom_site_type_symbol
_atom_site_fract_x
_atom_site_fract_y
_atom_site_fract_z
Hf1 Hf 0.000 0.000 0.000
Be1 Be 0.500 0.000 0.500
Pd1 Pd 0.176 0.024 0.535
Pd2 Pd 0.356 0.540 0.584
```


What is the formula in the seventh record?
HfZrBePb2